1.
Starting from DFT lattice parameters and positions (GGA-PBE), the powder X-ray diffraction pattern of Nb2Bi3Pb2ClO11 was computed for CuKα.
Neutral-atom scattering factors, no anomalous dispersion.

Structural model:
Cell: 3.9443 3.9443 19.7958 Å, 90.00 90.00 90.00°
Fractional positions:
Nb 0.0000 0.0000 0.1154
Nb 0.0000 0.0000 0.8846
Bi 0.0000 0.0000 0.3975
Bi 0.0000 0.0000 0.6025
Bi 0.5000 0.5000 0.0000
Pb 0.5000 0.5000 0.2704
Pb 0.5000 0.5000 0.7296
Cl 0.5000 0.5000 0.5000
O 0.0000 0.0000 0.0000
O 0.0000 0.0000 0.2071
O 0.0000 0.0000 0.7929
O 0.0000 0.5000 0.0941
O 0.0000 0.5000 0.3419
O 0.0000 0.5000 0.6581
O 0.0000 0.5000 0.9059
O 0.5000 0.0000 0.0941
O 0.5000 0.0000 0.3419
O 0.5000 0.0000 0.6581
O 0.5000 0.0000 0.9059

Largest 10 diffraction maxima, by angle, 2θ from 5° to 70°:
Position (°2θ)  intensity
13.42  20
22.99  10
24.29  10
28.95  100
32.08  52
45.69  12
46.02  24
49.23  12
55.29  34
56.18  10

2.
Starting from DFT lattice parameters and positions (GGA-PBE), the powder X-ray diffraction pattern of Bi4PbCl2O6 was computed for CuKα.
Neutral-atom scattering factors, no anomalous dispersion.

Structural model:
Cell: 16.0410 16.0410 16.0410 Å, 165.74 165.74 20.23°
Fractional positions:
Bi 0.0855 0.0855 0.0000
Bi 0.2110 0.2110 0.0000
Bi 0.7890 0.7890 0.0000
Bi 0.9145 0.9145 0.0000
Pb 0.5000 0.5000 0.0000
Cl 0.3341 0.3341 0.0000
Cl 0.6659 0.6659 0.0000
O 0.0545 0.5545 0.5000
O 0.2500 0.7500 0.5000
O 0.4455 0.9455 0.5000
O 0.5545 0.0545 0.5000
O 0.7500 0.2500 0.5000
O 0.9455 0.4455 0.5000

Largest 10 diffraction maxima, by angle, 2θ from 5° to 70°:
Position (°2θ)  intensity
11.21  12
23.88  32
28.26  12
29.92  100
31.77  44
43.03  27
45.54  24
51.93  12
54.49  28
55.46  36

3.
Starting from DFT lattice parameters and positions (GGA-PBE), the powder X-ray diffraction pattern of BiPbClO2 was computed for CuKα.
Neutral-atom scattering factors, no anomalous dispersion.

Structural model:
Cell: 6.9560 6.9560 5.6543 Å, 90.00 90.00 131.48°
Fractional positions:
Bi 0.0876 0.9124 0.7500
Bi 0.9124 0.0876 0.2500
Pb 0.3932 0.6068 0.7500
Pb 0.6068 0.3932 0.2500
Cl 0.2539 0.7461 0.2500
Cl 0.7461 0.2539 0.7500
O 0.2377 0.2377 0.0000
O 0.2377 0.2377 0.5000
O 0.7623 0.7623 0.0000
O 0.7623 0.7623 0.5000

Largest 10 diffraction maxima, by angle, 2θ from 5° to 70°:
Position (°2θ)  intensity
13.96  16
23.21  42
30.69  100
31.30  22
31.65  22
42.83  17
45.11  22
53.98  16
55.33  19
55.77  19

4.
Starting from DFT lattice parameters and positions (GGA-PBE), the powder X-ray diffraction pattern of PrBi2ClO4 was computed for CuKα.
Neutral-atom scattering factors, no anomalous dispersion.

Structural model:
Cell: 3.9728 3.9728 9.1619 Å, 90.00 90.00 90.00°
Fractional positions:
Pr 0.0000 0.0000 0.0000
Bi 0.5000 0.5000 0.2825
Bi 0.5000 0.5000 0.7175
Cl 0.0000 0.0000 0.5000
O 0.0000 0.5000 0.1632
O 0.0000 0.5000 0.8368
O 0.5000 0.0000 0.1632
O 0.5000 0.0000 0.8368

Largest 10 diffraction maxima, by angle, 2θ from 5° to 70°:
Position (°2θ)  intensity
19.38  12
22.38  17
24.42  19
29.77  100
31.86  37
43.79  19
45.67  23
51.47  21
55.19  18
55.47  35